Entry 1:
The following is a calculated powder XRD pattern of Y3Pd. It was derived from a PBE-relaxed structure, using a wavelength of 1.5418 Å.
Kinematic intensities with the Lorentz-polarization factor, no thermal factor.

a = 6.1706 Å, b = 8.9755 Å, c = 8.9758 Å
α = 83.18°, β = 69.97°, γ = 69.97°
Space group P1 (No. 1)
Asymmetric unit:
Y 0.0000 0.0000 0.0000 (multiplicity 1)
Y 0.0006 0.2860 0.7130 (multiplicity 1)
Y 0.0871 0.6427 0.7617 (multiplicity 1)
Y 0.1472 0.8339 0.3571 (multiplicity 1)
Y 0.3389 0.4517 0.3561 (multiplicity 1)
Y 0.3572 0.2862 0.9995 (multiplicity 1)
Y 0.4916 0.6435 0.9512 (multiplicity 1)
Y 0.5089 0.0483 0.3570 (multiplicity 1)
Y 0.6443 0.9995 0.7137 (multiplicity 1)
Y 0.6626 0.6424 0.5478 (multiplicity 1)
Y 0.8533 0.6433 0.1656 (multiplicity 1)
Y 0.9144 0.2378 0.3558 (multiplicity 1)
Pd 0.2064 0.9369 0.6512 (multiplicity 1)
Pd 0.4999 0.9374 0.0629 (multiplicity 1)
Pd 0.5008 0.3482 0.6504 (multiplicity 1)
Pd 0.7949 0.3491 0.0618 (multiplicity 1)

Top 6 peaks for 2θ from 10° to 90°, sorted by position:
h k l, two_theta, I_rel
1 1 3, 30.7, 92
2 2 1, 30.9, 87
0 3 0, 31.8, 77
0 1 3, 33.6, 42
1 2 -2, 34.2, 100
2 1 -1, 36.1, 72

---

Entry 2:
The following is a calculated powder XRD pattern of Y5Pd3. It was derived from a PBE-relaxed structure, using a wavelength of 1.5418 Å.
Kinematic intensities with the Lorentz-polarization factor, no thermal factor.

a = 11.1916 Å, b = 11.1916 Å, c = 6.4143 Å
α = 90.00°, β = 90.00°, γ = 90.00°
Space group P4/ncc (No. 130, origin choice 2)
Asymmetric unit:
Y 0.0410 0.1610 0.1290 (multiplicity 16)
Y 0.2500 0.7500 0.0000 (multiplicity 4)
Pd 0.0947 0.5947 0.7500 (multiplicity 8)
Pd 0.2500 0.2500 0.3860 (multiplicity 4)

Top 6 peaks for 2θ from 10° to 90°, sorted by position:
h k l, two_theta, I_rel
2 2 0, 22.5, 20
3 1 1, 28.8, 32
3 2 1, 32.0, 32
2 1 2, 33.2, 38
4 2 0, 35.9, 100
3 1 2, 37.9, 19